No. 1
Structure and calculated XRD peak list of KTbO3 (the PBE geometry in the Materials Project; Cu Ka).
Kinematic intensities with the Lorentz-polarization factor, no thermal factor.

Cell and atoms:
```
data_KTbO3
_cell_length_a 4.495
_cell_length_b 4.495
_cell_length_c 4.495
_cell_angle_alpha 90.00
_cell_angle_beta 90.00
_cell_angle_gamma 90.00
_space_group_name_H-M_alt 'P 1'
_space_group_IT_number 1
_space_group_name_Hall 'P 1'
loop_
_atom_site_label
_atom_site_type_symbol
_atom_site_fract_x
_atom_site_fract_y
_atom_site_fract_z
_atom_site_occupancy
K1 K 0.000 0.000 0.000 1
Tb1 Tb 0.500 0.500 0.500 1
O1 O 0.000 0.500 0.500 1
O2 O 0.500 0.000 0.500 1
O3 O 0.500 0.500 0.000 1
```

Principal peaks in the range 5 to 70 degrees two-theta, most intense first:
2theta, Rel. int.
28.1, 100
19.8, 63
49.7, 41
40.1, 35
45.1, 30
58.0, 22
65.7, 18
61.9, 15
34.6, 5
69.3, 3

---

No. 2
Structure and calculated XRD peak list of KTbTi4O12 (the PBE geometry in the Materials Project; Cu Ka).
Kinematic intensities with the Lorentz-polarization factor, no thermal factor.

Cell and atoms:
```
data_KTbTi4O12
_cell_length_a 7.774
_cell_length_b 5.479
_cell_length_c 5.479
_cell_angle_alpha 89.97
_cell_angle_beta 90.00
_cell_angle_gamma 90.00
_space_group_name_H-M_alt 'P 1'
_space_group_IT_number 1
_space_group_name_Hall 'P 1'
loop_
_atom_site_label
_atom_site_type_symbol
_atom_site_fract_x
_atom_site_fract_y
_atom_site_fract_z
_atom_site_occupancy
K1 K 0.000 0.000 0.000 1
Tb1 Tb 0.500 0.532 0.532 1
Ti1 Ti 0.243 0.020 0.506 1
Ti2 Ti 0.243 0.506 0.020 1
Ti3 Ti 0.757 0.020 0.506 1
Ti4 Ti 0.757 0.506 0.020 1
O1 O 0.000 0.021 0.497 1
O2 O 0.000 0.497 0.021 1
O3 O 0.255 0.743 0.743 1
O4 O 0.271 0.259 0.760 1
O5 O 0.271 0.760 0.259 1
O6 O 0.293 0.281 0.281 1
O7 O 0.500 0.528 0.966 1
O8 O 0.500 0.966 0.528 1
O9 O 0.707 0.281 0.281 1
O10 O 0.729 0.259 0.760 1
O11 O 0.729 0.760 0.259 1
O12 O 0.745 0.743 0.743 1
```

Principal peaks in the range 5 to 70 degrees two-theta, most intense first:
2theta, Rel. int.
32.7, 100
19.8, 93
46.9, 35
38.5, 31
11.4, 31
16.2, 28
58.3, 26
51.3, 21
25.7, 20
68.4, 17